The following is a simulated powder XRD pattern of CaV4Ge4O16. It was derived from a cell relaxed with PBE+U, using CuKα.
Kinematic intensities with the Lorentz-polarization factor, no thermal factor.

Peak list (10 most intense, 10° ≤ 2θ ≤ 80°, in order of falling intensity)
2θ/deg  I (rel.)  h k l
28.4  100  1 1 1
26.8  96  1 -1 2
26.4  63  1 1 -1
28.8  56  1 0 -3
34.5  47  1 -2 0
33.0  44  -1 1 3
17.3  40  0 1 -1
24.2  30  0 1 2
33.0  30  0 2 -1
16.3  29  0 1 0

Structure:
```
CaV4Ge4O16
1.0
5.1262 0.0000 0.0000
-0.9605 5.4763 0.0000
-0.6484 -1.2916 11.1253
Ca V Ge O
1 4 4 16
Cartesian
0.0000 0.0000 0.0000
0.3659 1.5665 5.6434
0.1080 4.2737 4.2447
1.7445 -0.3060 8.6427
3.6288 2.5221 0.3020
-0.8088 1.4197 8.3758
1.1124 3.4701 1.5844
2.7984 1.8318 3.4636
2.6841 4.0034 6.7123
4.7820 -0.4655 5.4141
-0.0076 -0.1421 9.1895
0.2779 2.0611 0.9664
-0.2133 4.4966 2.1803
0.7852 1.1717 7.3554
1.7552 0.7928 4.5267
1.2903 3.3855 5.6181
1.8558 3.3689 3.2272
1.4937 3.5983 8.1580
2.3720 3.9742 0.4768
2.5388 -0.1462 10.2437
2.9760 1.2883 1.8516
3.2038 0.2773 7.4049
3.9714 2.7341 7.0022
3.8507 2.2803 9.8276
4.3325 2.2988 4.3018
```